Starting from a DFT-relaxed cell (PBE+U, Alexandria), the X-ray powder pattern of Na2CrAs2O7 was simulated for Cu Kα (λ = 1.5418 Å).

Atomic structure:
abc: 7.9579 7.9579 7.9579
angles: 40.84 40.84 40.84
Atoms (fractional coordinates):
Na1 0.2338 0.2338 0.2338
Na2 0.7662 0.7662 0.7662
Cr1 0.5000 0.5000 0.5000
As1 0.0827 0.0827 0.0827
As2 0.9173 0.9173 0.9173
O1 0.0000 0.0000 0.0000
O2 0.2010 0.3427 0.7761
O3 0.2239 0.6573 0.7990
O4 0.3427 0.7761 0.2010
O5 0.6573 0.7990 0.2239
O6 0.7761 0.2010 0.3427
O7 0.7990 0.2239 0.6573

Top 12 peaks for 2θ = 15–90°, in order of rising 2θ:
2theta	d/Å	I (rel.)
18.89	4.697	648
20.17	4.402	968
24.44	3.642	427
27.58	3.234	705
32.24	2.777	1000
34.25	2.618	487
40.87	2.208	203
47.75	1.905	386
54.69	1.678	183
57.49	1.603	251
58.79	1.571	223
60.84	1.523	308